Starting from a structure optimized by DFT (PBE+U), the powder diffractogram of Mg6CdCoO8 was simulated for Cu Kα (λ = 1.5418 Å).

Atomic structure:
Unit cell a=4.351 b=4.351 c=8.727 alpha=90.00 beta=90.00 gamma=90.00
Sites, in units of the cell vectors:
Mg 0.000 0.000 0.000
Mg 0.000 0.500 0.243
Mg 0.000 0.500 0.757
Mg 0.500 0.000 0.243
Mg 0.500 0.000 0.757
Mg 0.500 0.500 0.000
Cd 0.000 0.000 0.500
Co 0.500 0.500 0.500
O 0.000 0.000 0.234
O 0.000 0.000 0.766
O 0.000 0.500 0.000
O 0.000 0.500 0.500
O 0.500 0.000 0.000
O 0.500 0.000 0.500
O 0.500 0.500 0.246
O 0.500 0.500 0.754

Main lines, in order of rising 2θ (2θ = 10–80°):
| Position (°2θ) | Rel. int. | h k l |
| --- | --- | --- |
| 10.1 | 93 | 0 0 1 |
| 20.4 | 33 | 0 0 2 |
| 29.0 | 27 | 1 1 0 |
| 30.8 | 47 | 0 0 3 |
| 35.7 | 58 | 1 1 2 |
| 41.4 | 50 | 0 0 4 |
| 41.5 | 100 | 2 0 0 |
| 42.8 | 25 | 1 1 3 |
| 60.1 | 87 | 2 2 0 |
| 75.6 | 27 | 2 2 4 |